For Li4Co3Ni3O12, DFT lattice parameters and positions (PBE+U) gives the computed powder diffractogram in this record (copper Kα).

```
Li4Co3Ni3O12
1.0
5.8127 0.0000 0.0000
-0.1277 5.8596 0.0000
-1.4767 -1.5881 6.1121
Li Co Ni O
4 3 3 12
direct
0.0000 0.0000 0.0000
0.1771 0.6596 0.6569
0.5000 0.0000 0.0000
0.8229 0.3404 0.3431
0.1676 0.1681 0.6662
0.5000 0.5000 0.0000
0.8324 0.8319 0.3338
0.0000 0.5000 0.0000
0.3348 0.8307 0.3368
0.6652 0.1693 0.6632
0.0583 0.6083 0.3154
0.0665 0.0664 0.3490
0.2590 0.2566 0.9765
0.2601 0.7170 0.0072
0.3946 0.9479 0.6576
0.4059 0.4028 0.6942
0.5941 0.5972 0.3058
0.6054 0.0521 0.3424
0.7399 0.2830 0.9928
0.7410 0.7434 0.0235
0.9335 0.9336 0.6510
0.9417 0.3917 0.6846
```

Principal peaks in the range 2θ from 15° to 90°, by angle:
h k l	Position (°2θ)	d/Å	Rel. int.
0 1 -1	18.5	4.803	100.0
-2 1 1	35.9	2.499	13.0
0 1 2	36.7	2.447	24.1
2 -2 0	43.4	2.086	20.3
0 0 3	44.4	2.039	38.3
2 -1 2	48.2	1.889	11.4
2 -2 3	63.6	1.464	10.2
-2 2 3	64.1	1.452	10.6